Structure and computed X-ray diffraction stick pattern of Ac2Mg17 (the GGA-PBE geometry in Alexandria; Cu Kα X-rays).
No peak broadening, texture or thermal motion is included.

Structural model:
```
data_Ac2Mg17
_chemical_formula_sum 'Ac6 Mg51'
_space_group_name_H-M_alt 'R -3 m'
_space_group_IT_number 166
_space_group_name_Hall '-R 3 2"'
_cell_length_a 10.4586
_cell_length_b 10.4586
_cell_length_c 15.3858
_cell_angle_alpha 90.00
_cell_angle_beta 90.00
_cell_angle_gamma 120.00
loop_
_atom_site_label
_atom_site_type_symbol
_atom_site_fract_x
_atom_site_fract_y
_atom_site_fract_z
_atom_site_occupancy
Ac1 Ac 0.0000 0.0000 0.1654 1
Mg1 Mg 0.0000 0.0000 0.4018 1
Mg2 Mg 0.0000 0.2961 0.5000 1
Mg3 Mg 0.0000 0.5000 0.0000 1
Mg4 Mg 0.0055 0.5027 0.6530 1
```

Peak list (12 most intense, 2θ from 10° to 90°, sorted by position)
- 11.3°, rel. 38, (1 0 1)
- 15.1°, rel. 25, (0 1 2)
- 17.0°, rel. 71, (1 1 0)
- 17.3°, rel. 24, (0 0 3)
- 24.3°, rel. 100, (1 1 3)
- 29.6°, rel. 50, (3 0 0)
- 34.3°, rel. 50, (2 2 0)
- 34.5°, rel. 90, (0 3 3)
- 35.0°, rel. 38, (0 0 6)
- 46.5°, rel. 23, (3 0 6)
- 49.4°, rel. 35, (4 1 3)
- 49.8°, rel. 31, (2 2 6)